This entry pairs a crystal structure of K4MgMo3O12 with its computed powder X-ray diffraction pattern. Radiation: Cu Kα (weighted mean of Kα1 and Kα2). Structure: a DFT-relaxed cell (GGA+U, Alexandria).
Intensities are scaled so that the largest is 100.

The 10 most intense peaks (10° ≤ 2θ ≤ 90°), sorted by position:
- 17.47°, 5.077 Å, rel. 68.5
- 21.25°, 4.181 Å, rel. 74.4
- 23.21°, 3.832 Å, rel. 61.1
- 25.39°, 3.508 Å, rel. 48.6
- 25.48°, 3.496 Å, rel. 64.3
- 27.20°, 3.279 Å, rel. 53.3
- 27.94°, 3.193 Å, rel. 90.0
- 28.06°, 3.180 Å, rel. 82.1
- 28.26°, 3.158 Å, rel. 100.0
- 28.83°, 3.097 Å, rel. 65.9

Crystal structure
```
K4MgMo3O12
1.0
8.0182 0.0000 0.0000
-2.9693 9.6953 0.0000
-2.8809 -1.4933 9.6253
K Mg Mo O
8 2 6 24
Direct
0.0000 0.0000 0.0000
0.1449 0.5667 0.8847
0.2496 0.5305 0.4753
0.2806 0.2399 0.7752
0.5000 0.0000 0.0000
0.7194 0.7601 0.2248
0.7504 0.4695 0.5247
0.8551 0.4333 0.1153
0.3322 0.1226 0.4470
0.6678 0.8774 0.5530
0.1121 0.8492 0.6140
0.2684 0.8128 0.2554
0.3765 0.3568 0.1863
0.6235 0.6432 0.8137
0.7316 0.1872 0.7446
0.8879 0.1508 0.3860
0.0557 0.6956 0.2591
0.1073 0.6735 0.6296
0.1159 0.1566 0.4908
0.1702 0.9450 0.7830
0.2017 0.4370 0.1372
0.2657 0.9918 0.2697
0.2831 0.9322 0.5344
0.2931 0.7821 0.0887
0.3324 0.2155 0.0529
0.3832 0.3001 0.3546
0.4051 0.5148 0.7900
0.4595 0.7787 0.3794
0.5405 0.2213 0.6206
0.5949 0.4852 0.2100
0.6168 0.6999 0.6454
0.6676 0.7845 0.9471
0.7069 0.2179 0.9113
0.7169 0.0678 0.4656
0.7343 0.0082 0.7303
0.7983 0.5630 0.8628
0.8298 0.0550 0.2170
0.8841 0.8434 0.5092
0.8927 0.3265 0.3704
0.9443 0.3044 0.7409
```